(1)
Starting from a cell relaxed with PBE, the powder X-ray diffraction pattern of Ca2CuIrO6 was calculated for Cu Kα, 1.54184 Å.
Kinematic intensities with the Lorentz-polarization factor, no thermal factor.

Most intense lines, 2θ from 15° to 90°, sorted by position:
hkl 0 1 1, 19.5 deg, 4.546 Å, I 29; hkl 1 0 0, 20.0 deg, 4.432 Å, I 28; hkl 1 1 -1, 22.8 deg, 3.906 Å, I 53; hkl 0 2 0, 31.8 deg, 2.817 Å, I 25; hkl 1 1 1, 32.7 deg, 2.741 Å, I 100; hkl 2 2 -2, 46.5 deg, 1.953 Å, I 26

Crystal structure
```
Ca2CuIrO6
1.0
5.4209 0.0000 0.0000
0.0000 5.6342 0.0000
-5.4010 0.0000 7.6945
Ca Cu Ir O
4 2 2 12
Direct
0.2352 0.0605 0.2500
0.2352 0.4395 0.7500
0.7648 0.5605 0.2500
0.7648 0.9395 0.7500
0.5000 0.0000 0.0000
0.5000 0.5000 0.5000
0.0000 0.0000 0.5000
0.0000 0.5000 0.0000
0.1332 0.2095 0.9470
0.1332 0.2905 0.4470
0.2419 0.6917 0.9493
0.2419 0.8083 0.4493
0.3428 0.0341 0.7427
0.3428 0.4659 0.2427
0.6572 0.5341 0.7573
0.6572 0.9659 0.2573
0.7581 0.1917 0.5507
0.7581 0.3083 0.0507
0.8668 0.7095 0.5530
0.8668 0.7905 0.0530
```

(2)
Starting from a cell relaxed with PBE, the powder X-ray diffraction pattern of Ca5Cu2Ir2O12 was calculated for Cu Kα, 1.54184 Å.
Kinematic intensities with the Lorentz-polarization factor, no thermal factor.

Most intense lines, 2θ from 15° to 90°, sorted by position:
hkl 1 0 -1, 18.8 deg, 4.709 Å, I 44; hkl 0 1 -1, 19.0 deg, 4.669 Å, I 100; hkl 1 1 0, 19.4 deg, 4.570 Å, I 47; hkl 1 1 -2, 33.0 deg, 2.711 Å, I 44; hkl 1 -2 1, 33.3 deg, 2.689 Å, I 36; hkl 1 3 0, 44.1 deg, 2.056 Å, I 28

Crystal structure
```
Ca5Cu2Ir2O12
1.0
6.5372 0.0000 0.0000
-0.1270 6.5470 0.0000
-0.2157 -0.0912 6.5648
Ca Cu Ir O
5 2 2 12
Direct
0.0000 0.0000 0.0000
0.1440 0.8565 0.4830
0.5032 0.1251 0.8588
0.6532 0.6202 0.6997
0.8094 0.4852 0.1961
0.2093 0.4876 0.7754
0.5832 0.0017 0.4019
0.3955 0.7319 0.0970
0.9016 0.2393 0.5929
0.1051 0.6901 0.1635
0.1843 0.1898 0.7087
0.3011 0.7857 0.8034
0.3649 0.0217 0.1889
0.4331 0.4523 0.9799
0.5015 0.7097 0.3852
0.6147 0.2857 0.5040
0.6823 0.8006 0.0190
0.8002 0.9498 0.6289
0.8223 0.3040 0.8818
0.9599 0.1657 0.3116
0.9824 0.5370 0.5665
```